Record 1
Diffraction record for Sm2MgF8. The powder X-ray diffraction pattern is computed, not measured: it uses the PBE geometry in Alexandria and copper Kα.
Kinematic intensities with the Lorentz-polarization factor, no thermal factor.

Principal peaks in the range 2θ = 10–90°, by angle:
2θ 13.4, 6.626 Å, I = 1000
2θ 25.4, 3.508 Å, I = 177
2θ 25.9, 3.441 Å, I = 381
2θ 26.3, 3.389 Å, I = 428
2θ 26.9, 3.313 Å, I = 213
2θ 28.1, 3.180 Å, I = 167
2θ 43.3, 2.090 Å, I = 140
2θ 44.8, 2.023 Å, I = 145

Cell and atoms:
Cell: 6.946 6.946 7.029 Å, 93.28 93.28 34.25°
Element x y z (fractional)
1 Sm 0.239 0.239 0.247
2 Sm 0.761 0.761 0.753
3 Mg 0.757 0.243 0.500
4 F 0.049 0.105 0.317
5 F 0.238 0.238 0.600
6 F 0.296 0.309 0.944
7 F 0.414 0.395 0.346
8 F 0.605 0.586 0.654
9 F 0.691 0.704 0.056
10 F 0.762 0.762 0.400
11 F 0.895 0.951 0.683

***

Record 2
Diffraction record for Sr2MgF6. The powder X-ray diffraction pattern is computed, not measured: it uses the PBE geometry in Alexandria and copper Kα.
Kinematic intensities with the Lorentz-polarization factor, no thermal factor.

Principal peaks in the range 2θ = 10–90°, by angle:
2θ 21.1, 4.220 Å, I = 1000
2θ 22.9, 3.885 Å, I = 685
2θ 23.4, 3.805 Å, I = 687
2θ 24.6, 3.619 Å, I = 568
2θ 30.1, 2.972 Å, I = 604
2θ 30.3, 2.947 Å, I = 656
2θ 32.2, 2.777 Å, I = 636
2θ 46.5, 1.952 Å, I = 623

Cell and atoms:
Cell: 5.609 6.433 9.236 Å, 90.00 122.73 90.00°
Element x y z (fractional)
1 Sr 0.222 0.096 0.255
2 Sr 0.222 0.404 0.755
3 Sr 0.778 0.596 0.245
4 Sr 0.778 0.904 0.745
5 Mg 0.500 0.000 0.000
6 Mg 0.500 0.500 0.500
7 F 0.150 0.147 0.947
8 F 0.150 0.353 0.447
9 F 0.296 0.721 0.933
10 F 0.296 0.779 0.433
11 F 0.393 0.051 0.762
12 F 0.393 0.449 0.262
13 F 0.607 0.551 0.738
14 F 0.607 0.949 0.238
15 F 0.704 0.221 0.567
16 F 0.704 0.279 0.067
17 F 0.850 0.647 0.553
18 F 0.850 0.853 0.053

***

Record 3
Diffraction record for MgTeF. The powder X-ray diffraction pattern is computed, not measured: it uses the PBE geometry in Alexandria and copper Kα.
Kinematic intensities with the Lorentz-polarization factor, no thermal factor.

Principal peaks in the range 2θ = 10–90°, by angle:
2θ 15.0, 5.890 Å, I = 649
2θ 26.2, 3.400 Å, I = 1000
2θ 27.6, 3.236 Å, I = 292
2θ 31.5, 2.836 Å, I = 439
2θ 35.1, 2.555 Å, I = 255
2θ 38.4, 2.344 Å, I = 402
2θ 47.1, 1.930 Å, I = 396
2θ 54.7, 1.678 Å, I = 315

Cell and atoms:
Cell: 3.236 4.163 5.890 Å, 90.00 90.00 90.00°
Element x y z (fractional)
1 Mg 0.000 0.000 0.000
2 Te 0.000 0.500 0.327
3 F 0.500 0.000 0.838

***

Record 4
Diffraction record for MgTiF5. The powder X-ray diffraction pattern is computed, not measured: it uses the PBE geometry in Alexandria and copper Kα.
Kinematic intensities with the Lorentz-polarization factor, no thermal factor.

Principal peaks in the range 2θ = 10–90°, by angle:
2θ 20.0, 4.438 Å, I = 528
2θ 25.5, 3.489 Å, I = 1000
2θ 26.7, 3.338 Å, I = 693
2θ 27.4, 3.259 Å, I = 381
2θ 41.0, 2.199 Å, I = 270
2θ 45.3, 2.001 Å, I = 249
2θ 45.9, 1.979 Å, I = 381
2θ 53.1, 1.725 Å, I = 280

Cell and atoms:
Cell: 5.253 9.778 7.489 Å, 90.00 108.51 90.00°
Element x y z (fractional)
1 Mg 0.019 0.012 0.224
2 Mg 0.019 0.488 0.724
3 Mg 0.981 0.512 0.276
4 Mg 0.981 0.988 0.776
5 Ti 0.401 0.242 0.625
6 Ti 0.401 0.258 0.125
7 Ti 0.599 0.742 0.875
8 Ti 0.599 0.758 0.375
9 F 0.109 0.112 0.613
10 F 0.109 0.388 0.113
11 F 0.142 0.106 0.011
12 F 0.142 0.394 0.511
13 F 0.290 0.637 0.333
14 F 0.290 0.863 0.833
15 F 0.316 0.175 0.353
16 F 0.316 0.325 0.853
17 F 0.344 0.599 0.778
18 F 0.344 0.901 0.278
19 F 0.656 0.099 0.722
20 F 0.656 0.401 0.222
21 F 0.684 0.675 0.147
22 F 0.684 0.825 0.647
23 F 0.710 0.137 0.167
24 F 0.710 0.363 0.667
25 F 0.858 0.606 0.489
26 F 0.858 0.894 0.989
27 F 0.891 0.612 0.887
28 F 0.891 0.888 0.387

***

Record 5
Diffraction record for MgTi2F8. The powder X-ray diffraction pattern is computed, not measured: it uses the PBE geometry in Alexandria and copper Kα.
Kinematic intensities with the Lorentz-polarization factor, no thermal factor.

Principal peaks in the range 2θ = 10–90°, by angle:
2θ 18.4, 4.817 Å, I = 804
2θ 24.7, 3.600 Å, I = 1000
2θ 27.4, 3.254 Å, I = 967
2θ 27.5, 3.239 Å, I = 832
2θ 42.9, 2.107 Å, I = 749
2θ 45.6, 1.990 Å, I = 414
2θ 48.5, 1.876 Å, I = 571
2θ 63.3, 1.470 Å, I = 384

Cell and atoms:
Cell: 5.312 5.312 4.991 Å, 101.94 101.94 75.55°
Element x y z (fractional)
1 Mg 0.000 0.000 0.000
2 Ti 0.317 0.317 0.559
3 Ti 0.683 0.683 0.441
4 F 0.047 0.658 0.709
5 F 0.160 0.160 0.784
6 F 0.342 0.953 0.291
7 F 0.441 0.441 0.255
8 F 0.559 0.559 0.745
9 F 0.658 0.047 0.709
10 F 0.840 0.840 0.216
11 F 0.953 0.342 0.291

***

Record 6
Diffraction record for Mg2Tl3F7. The powder X-ray diffraction pattern is computed, not measured: it uses the PBE geometry in Alexandria and copper Kα.
Kinematic intensities with the Lorentz-polarization factor, no thermal factor.

Principal peaks in the range 2θ = 10–90°, by angle:
2θ 21.9, 4.067 Å, I = 600
2θ 22.1, 4.029 Å, I = 407
2θ 22.4, 3.976 Å, I = 564
2θ 28.8, 3.104 Å, I = 722
2θ 31.3, 2.862 Å, I = 637
2θ 31.5, 2.843 Å, I = 621
2θ 36.4, 2.467 Å, I = 1000
2θ 52.8, 1.733 Å, I = 386

Cell and atoms:
Cell: 12.101 12.101 4.067 Å, 90.00 90.00 160.55°
Element x y z (fractional)
1 Mg 0.088 0.912 0.000
2 Mg 0.912 0.088 0.000
3 Tl 0.320 0.680 0.500
4 Tl 0.500 0.500 0.500
5 Tl 0.680 0.320 0.500
6 F 0.000 0.000 0.000
7 F 0.089 0.911 0.500
8 F 0.172 0.828 0.000
9 F 0.411 0.589 0.000
10 F 0.589 0.411 0.000
11 F 0.828 0.172 0.000
12 F 0.911 0.089 0.500

***

Record 7
Diffraction record for MgTlZn2F8. The powder X-ray diffraction pattern is computed, not measured: it uses the PBE geometry in Alexandria and copper Kα.
Kinematic intensities with the Lorentz-polarization factor, no thermal factor.

Principal peaks in the range 2θ = 10–90°, by angle:
2θ 13.2, 6.725 Å, I = 380
2θ 22.4, 3.971 Å, I = 758
2θ 25.3, 3.523 Å, I = 734
2θ 25.9, 3.438 Å, I = 641
2θ 32.2, 2.776 Å, I = 1000
2θ 49.1, 1.854 Å, I = 525
2θ 49.9, 1.829 Å, I = 437
2θ 63.1, 1.474 Å, I = 311

Cell and atoms:
Cell: 4.923 4.923 6.725 Å, 90.00 90.00 91.40°
Element x y z (fractional)
1 Mg 0.000 0.000 0.000
2 Tl 0.000 0.000 0.500
3 Zn 0.500 0.500 0.233
4 Zn 0.500 0.500 0.767
5 F 0.206 0.206 0.213
6 F 0.206 0.206 0.787
7 F 0.297 0.703 0.000
8 F 0.330 0.670 0.500
9 F 0.670 0.330 0.500
10 F 0.703 0.297 0.000
11 F 0.794 0.794 0.213
12 F 0.794 0.794 0.787

***

Record 8
Diffraction record for Mg2Tl3ZnF9. The powder X-ray diffraction pattern is computed, not measured: it uses the PBE geometry in Alexandria and copper Kα.
Kinematic intensities with the Lorentz-polarization factor, no thermal factor.

Principal peaks in the range 2θ = 10–90°, by angle:
2θ 21.4, 4.161 Å, I = 454
2θ 30.4, 2.943 Å, I = 1000
2θ 37.4, 2.403 Å, I = 374
2θ 43.5, 2.081 Å, I = 344
2θ 48.9, 1.861 Å, I = 226
2θ 54.0, 1.699 Å, I = 417
2θ 63.2, 1.471 Å, I = 215
2θ 87.8, 1.112 Å, I = 223

Cell and atoms:
Cell: 5.884 5.884 7.210 Å, 90.00 90.00 120.00°
Element x y z (fractional)
1 Mg 0.333 0.667 0.162
2 Mg 0.667 0.333 0.838
3 Tl 0.000 0.000 0.000
4 Tl 0.333 0.667 0.663
5 Tl 0.667 0.333 0.337
6 Zn 0.000 0.000 0.500
7 F 0.000 0.500 0.000
8 F 0.169 0.337 0.330
9 F 0.169 0.831 0.330
10 F 0.337 0.169 0.670
11 F 0.500 0.000 0.000
12 F 0.500 0.500 0.000
13 F 0.663 0.831 0.330
14 F 0.831 0.169 0.670
15 F 0.831 0.663 0.670

***

What is the formula in the sixth record? Mg2Tl3F7

***

Which formula does entry 1 have? Sm2MgF8

***

What did the eighth record say?
Diffraction record for Mg2Tl3ZnF9. The powder X-ray diffraction pattern is computed, not measured: it uses the PBE geometry in Alexandria and copper Kα.
Kinematic intensities with the Lorentz-polarization factor, no thermal factor.

Principal peaks in the range 2θ = 10–90°, by angle:
2θ 21.4, 4.161 Å, I = 454
2θ 30.4, 2.943 Å, I = 1000
2θ 37.4, 2.403 Å, I = 374
2θ 43.5, 2.081 Å, I = 344
2θ 48.9, 1.861 Å, I = 226
2θ 54.0, 1.699 Å, I = 417
2θ 63.2, 1.471 Å, I = 215
2θ 87.8, 1.112 Å, I = 223

Cell and atoms:
Cell: 5.884 5.884 7.210 Å, 90.00 90.00 120.00°
Element x y z (fractional)
1 Mg 0.333 0.667 0.162
2 Mg 0.667 0.333 0.838
3 Tl 0.000 0.000 0.000
4 Tl 0.333 0.667 0.663
5 Tl 0.667 0.333 0.337
6 Zn 0.000 0.000 0.500
7 F 0.000 0.500 0.000
8 F 0.169 0.337 0.330
9 F 0.169 0.831 0.330
10 F 0.337 0.169 0.670
11 F 0.500 0.000 0.000
12 F 0.500 0.500 0.000
13 F 0.663 0.831 0.330
14 F 0.831 0.169 0.670
15 F 0.831 0.663 0.670